Starting from a DFT-relaxed cell (PBE+U, Alexandria), the X-ray diffraction stick pattern of NaZr2CoF11 was simulated for Cu Kα.
Peak positions follow from Bragg's law for the DFT cell and can differ from measured ones.

Structure:
Cell: 5.734 5.734 7.887 Å, 110.41 110.41 73.06°
Positions (direct):
Na 0.000 0.000 0.000
Zr 0.494 0.494 0.764
Zr 0.506 0.506 0.236
Co 0.000 0.000 0.500
F 0.190 0.780 0.688
F 0.220 0.810 0.312
F 0.246 0.246 0.650
F 0.268 0.268 0.112
F 0.329 0.671 0.000
F 0.500 0.500 0.500
F 0.671 0.329 0.000
F 0.732 0.732 0.888
F 0.754 0.754 0.350
F 0.780 0.190 0.688
F 0.810 0.220 0.312

Main lines, most intense first (2θ from 5° to 70°):
2theta	Rel. int.
26.10	100
21.41	74
46.05	39
16.82	34
43.61	21
51.40	20
53.70	17
34.06	14

Starting from a DFT-relaxed cell (PBE+U, Alexandria), the X-ray diffraction stick pattern of Rb2NbCoF6 was simulated for Cu Kα.
Peak positions follow from Bragg's law for the DFT cell and can differ from measured ones.

Structure:
Cell: 6.154 6.154 6.154 Å, 120.06 120.06 89.89°
Positions (direct):
Rb 0.250 0.750 0.500
Rb 0.750 0.250 0.500
Nb 0.000 0.000 0.000
Co 0.500 0.500 0.000
F 0.243 0.243 0.000
F 0.245 0.245 0.489
F 0.245 0.755 0.000
F 0.755 0.245 0.000
F 0.755 0.755 0.511
F 0.757 0.757 0.000

Main lines, most intense first (2θ from 5° to 70°):
2theta	Rel. int.
29.03	100
41.52	43
51.46	40
60.17	26
68.21	12
35.75	8
68.09	6
17.66	4

Starting from a DFT-relaxed cell (PBE+U, Alexandria), the X-ray diffraction stick pattern of Rb2NdCoF6 was simulated for Cu Kα.
Peak positions follow from Bragg's law for the DFT cell and can differ from measured ones.

Structure:
Cell: 5.556 6.075 7.029 Å, 114.62 107.99 91.24°
Positions (direct):
Rb 0.208 0.236 0.469
Rb 0.792 0.764 0.531
Nd 0.000 0.500 0.000
Co 0.500 0.000 0.000
F 0.203 0.173 0.870
F 0.229 0.700 0.876
F 0.264 0.671 0.365
F 0.736 0.329 0.635
F 0.771 0.300 0.124
F 0.797 0.827 0.130

Main lines, most intense first (2θ from 5° to 70°):
2theta	Rel. int.
26.93	100
27.50	90
25.42	84
25.67	79
29.85	66
29.41	61
32.37	41
17.04	39

Starting from a DFT-relaxed cell (PBE+U, Alexandria), the X-ray diffraction stick pattern of Co2NiF6 was simulated for Cu Kα.
Peak positions follow from Bragg's law for the DFT cell and can differ from measured ones.

Structure:
Cell: 4.733 4.733 9.543 Å, 90.00 90.00 90.00°
Positions (direct):
Co 0.000 0.000 0.167
Co 0.000 0.000 0.833
Co 0.500 0.500 0.333
Co 0.500 0.500 0.667
Ni 0.000 0.000 0.500
Ni 0.500 0.500 0.000
F 0.195 0.195 0.336
F 0.195 0.195 0.664
F 0.197 0.197 0.000
F 0.303 0.697 0.500
F 0.305 0.695 0.164
F 0.305 0.695 0.836
F 0.695 0.305 0.164
F 0.695 0.305 0.836
F 0.697 0.303 0.500
F 0.803 0.803 0.000
F 0.805 0.805 0.336
F 0.805 0.805 0.664

Main lines, most intense first (2θ from 5° to 70°):
2theta	Rel. int.
26.64	100
51.89	67
33.96	57
66.11	24
54.87	19
39.07	18
64.91	14
57.99	11

Starting from a DFT-relaxed cell (PBE+U, Alexandria), the X-ray diffraction stick pattern of Co2NiOsF was simulated for Cu Kα.
Peak positions follow from Bragg's law for the DFT cell and can differ from measured ones.

Structure:
Cell: 3.947 3.947 4.334 Å, 90.00 90.00 90.00°
Positions (direct):
Co 0.000 0.500 0.000
Co 0.500 0.000 0.000
Ni 0.000 0.000 0.500
Os 0.500 0.500 0.500
F 0.500 0.500 0.000

Main lines, most intense first (2θ from 5° to 70°):
2theta	Rel. int.
38.36	100
45.99	36
22.53	30
63.79	26
41.68	24
30.64	14
32.07	14
67.07	11

Starting from a DFT-relaxed cell (PBE+U, Alexandria), the X-ray diffraction stick pattern of SrCo2NiF8 was simulated for Cu Kα.
Peak positions follow from Bragg's law for the DFT cell and can differ from measured ones.

Structure:
Cell: 4.910 4.964 6.715 Å, 89.95 89.96 88.17°
Positions (direct):
Sr 0.000 0.000 0.000
Co 0.500 0.500 0.265
Co 0.500 0.500 0.735
Ni 0.000 0.000 0.500
F 0.199 0.786 0.285
F 0.199 0.786 0.716
F 0.306 0.296 0.500
F 0.346 0.317 0.000
F 0.654 0.683 0.000
F 0.694 0.704 0.500
F 0.801 0.214 0.284
F 0.801 0.214 0.715

Main lines, most intense first (2θ from 5° to 70°):
2theta	Rel. int.
25.11	100
25.94	83
32.19	60
32.31	52
48.83	37
49.07	33
49.77	29
50.01	25

Starting from a DFT-relaxed cell (PBE+U, Alexandria), the X-ray diffraction stick pattern of CoOF was simulated for Cu Kα.
Peak positions follow from Bragg's law for the DFT cell and can differ from measured ones.

Structure:
Cell: 4.635 2.975 13.753 Å, 90.00 95.64 90.00°
Positions (direct):
Co 0.000 0.000 0.000
Co 0.033 0.000 0.668
Co 0.413 0.500 0.502
Co 0.468 0.500 0.166
Co 0.521 0.500 0.832
Co 0.932 0.000 0.333
O 0.122 0.500 0.395
O 0.187 0.500 0.066
O 0.222 0.500 0.730
O 0.266 0.000 0.569
O 0.747 0.500 0.266
O 0.819 0.500 0.935
F 0.266 0.000 0.229
F 0.320 0.000 0.898
F 0.621 0.000 0.438
F 0.672 0.000 0.102
F 0.730 0.000 0.764
F 0.790 0.500 0.603

Main lines, most intense first (2θ from 5° to 70°):
2theta	Rel. int.
26.09	100
28.85	86
36.04	53
35.92	49
52.87	31
52.60	25
56.00	24
69.41	22

Starting from a DFT-relaxed cell (PBE+U, Alexandria), the X-ray diffraction stick pattern of Co6O5F7 was simulated for Cu Kα.
Peak positions follow from Bragg's law for the DFT cell and can differ from measured ones.

Structure:
Cell: 8.806 4.766 4.766 Å, 96.86 90.00 90.00°
Positions (direct):
Co 0.000 0.000 0.000
Co 0.167 0.500 0.500
Co 0.327 0.002 0.002
Co 0.500 0.528 0.528
Co 0.673 0.002 0.002
Co 0.833 0.500 0.500
O 0.164 0.191 0.191
O 0.166 0.808 0.808
O 0.500 0.826 0.826
O 0.834 0.808 0.808
O 0.836 0.191 0.191
F 0.000 0.305 0.693
F 0.000 0.693 0.305
F 0.337 0.312 0.700
F 0.337 0.700 0.312
F 0.500 0.205 0.205
F 0.663 0.312 0.700
F 0.663 0.700 0.312

Main lines, most intense first (2θ from 5° to 70°):
2theta	Rel. int.
24.97	100
36.00	86
28.22	83
51.54	63
55.16	45
67.40	38
51.24	20
38.03	18

Copy entry 7 word for word.
Starting from a DFT-relaxed cell (PBE+U, Alexandria), the X-ray diffraction stick pattern of CoOF was simulated for Cu Kα.
Peak positions follow from Bragg's law for the DFT cell and can differ from measured ones.

Structure:
Cell: 4.635 2.975 13.753 Å, 90.00 95.64 90.00°
Positions (direct):
Co 0.000 0.000 0.000
Co 0.033 0.000 0.668
Co 0.413 0.500 0.502
Co 0.468 0.500 0.166
Co 0.521 0.500 0.832
Co 0.932 0.000 0.333
O 0.122 0.500 0.395
O 0.187 0.500 0.066
O 0.222 0.500 0.730
O 0.266 0.000 0.569
O 0.747 0.500 0.266
O 0.819 0.500 0.935
F 0.266 0.000 0.229
F 0.320 0.000 0.898
F 0.621 0.000 0.438
F 0.672 0.000 0.102
F 0.730 0.000 0.764
F 0.790 0.500 0.603

Main lines, most intense first (2θ from 5° to 70°):
2theta	Rel. int.
26.09	100
28.85	86
36.04	53
35.92	49
52.87	31
52.60	25
56.00	24
69.41	22